Computed powder diffractogram of Tl5Ag3 for Cu Ka, from a crystal structure in Alexandria, relaxed with GGA-PBE.

Main lines, low angle first (2θ from 5° to 70°):
2θ 29.1, d = 3.072 Å, I = 35; 2θ 30.2, d = 2.960 Å, I = 38; 2θ 30.7, d = 2.913 Å, I = 32; 2θ 33.9, d = 2.641 Å, I = 100; 2θ 34.2, d = 2.623 Å, I = 50; 2θ 34.4, d = 2.610 Å, I = 93; 2θ 35.3, d = 2.544 Å, I = 48; 2θ 35.9, d = 2.503 Å, I = 27; 2θ 36.3, d = 2.472 Å, I = 48; 2θ 37.0, d = 2.428 Å, I = 52

Atomic structure:
```
Tl5Ag3
1.0
3.098 -8.327 0.000
3.098 8.327 0.000
-2.039 0.000 8.014
Tl Ag
10 6
Direct
0.049 0.687 0.801
0.221 0.425 0.640
0.253 0.253 0.012
0.313 0.951 0.199
0.425 0.221 0.640
0.575 0.779 0.360
0.687 0.049 0.801
0.747 0.747 0.988
0.779 0.575 0.360
0.951 0.313 0.199
0.101 0.101 0.339
0.247 0.753 0.500
0.338 0.662 0.000
0.662 0.338 0.000
0.753 0.247 0.500
0.899 0.899 0.661
```

---

Computed powder diffractogram of TlAg3 for Cu Ka, from a crystal structure in Alexandria, relaxed with GGA-PBE.

Main lines, low angle first (2θ from 5° to 70°):
2θ 14.5, d = 6.104 Å, I = 5; 2θ 20.6, d = 4.311 Å, I = 5; 2θ 25.3, d = 3.521 Å, I = 11; 2θ 32.6, d = 2.745 Å, I = 6; 2θ 35.9, d = 2.502 Å, I = 100; 2θ 36.1, d = 2.491 Å, I = 96; 2θ 41.7, d = 2.165 Å, I = 64; 2θ 41.9, d = 2.155 Å, I = 32; 2θ 60.2, d = 1.537 Å, I = 11; 2θ 60.6, d = 1.527 Å, I = 51

Atomic structure:
```
TlAg3
1.0
3.073 0.000 0.000
0.000 4.311 0.000
0.000 0.000 6.104
Tl Ag
1 3
Direct
0.000 0.000 0.000
0.000 0.000 0.500
0.500 0.500 0.269
0.500 0.500 0.731
```

---

Computed powder diffractogram of Tl2Ag17 for Cu Ka, from a crystal structure in Alexandria, relaxed with GGA-PBE.

Main lines, low angle first (2θ from 5° to 70°):
2θ 31.9, d = 2.806 Å, I = 39; 2θ 33.0, d = 2.714 Å, I = 31; 2θ 37.0, d = 2.430 Å, I = 60; 2θ 37.3, d = 2.414 Å, I = 100; 2θ 38.0, d = 2.368 Å, I = 47; 2θ 41.8, d = 2.162 Å, I = 44; 2θ 54.1, d = 1.696 Å, I = 22; 2θ 60.4, d = 1.533 Å, I = 20; 2θ 66.7, d = 1.403 Å, I = 23; 2θ 68.2, d = 1.375 Å, I = 17

Atomic structure:
```
Tl2Ag17
1.0
4.860 2.806 4.734
-4.860 2.806 4.734
0.000 -5.611 4.734
Tl Ag
2 17
Direct
0.150 0.150 0.150
0.850 0.850 0.850
0.000 0.500 0.500
0.152 0.152 0.652
0.152 0.652 0.152
0.199 0.500 0.801
0.199 0.801 0.500
0.348 0.848 0.848
0.400 0.400 0.400
0.500 0.000 0.500
0.500 0.199 0.801
0.500 0.500 0.000
0.500 0.801 0.199
0.600 0.600 0.600
0.652 0.152 0.152
0.801 0.199 0.500
0.801 0.500 0.199
0.848 0.348 0.848
0.848 0.848 0.348
```

---

Computed powder diffractogram of Tl6Ag for Cu Ka, from a crystal structure in Alexandria, relaxed with GGA-PBE.

Main lines, low angle first (2θ from 5° to 70°):
2θ 20.4, d = 4.345 Å, I = 35; 2θ 33.1, d = 2.702 Å, I = 100; 2θ 35.8, d = 2.509 Å, I = 64; 2θ 41.6, d = 2.173 Å, I = 6; 2θ 49.6, d = 1.839 Å, I = 33; 2θ 57.5, d = 1.604 Å, I = 10; 2θ 62.6, d = 1.483 Å, I = 33; 2θ 64.3, d = 1.448 Å, I = 12; 2θ 65.7, d = 1.422 Å, I = 15; 2θ 69.6, d = 1.351 Å, I = 6

Atomic structure:
```
Tl6Ag
1.0
8.690 0.000 0.000
-4.345 7.526 0.000
0.000 0.000 3.451
Tl Ag
6 1
Direct
0.000 0.337 0.264
0.000 0.663 0.736
0.337 0.000 0.264
0.337 0.337 0.736
0.663 0.000 0.736
0.663 0.663 0.264
0.000 0.000 0.000
```

---

Computed powder diffractogram of Tl2Ag for Cu Ka, from a crystal structure in Alexandria, relaxed with GGA-PBE.

Main lines, low angle first (2θ from 5° to 70°):
2θ 29.1, d = 3.068 Å, I = 50; 2θ 29.5, d = 3.026 Å, I = 26; 2θ 30.7, d = 2.916 Å, I = 39; 2θ 31.7, d = 2.824 Å, I = 42; 2θ 32.0, d = 2.797 Å, I = 33; 2θ 33.1, d = 2.709 Å, I = 48; 2θ 34.5, d = 2.598 Å, I = 100; 2θ 36.3, d = 2.477 Å, I = 58; 2θ 36.5, d = 2.463 Å, I = 30; 2θ 39.3, d = 2.295 Å, I = 34

Atomic structure:
```
Tl2Ag
1.0
11.409 0.000 0.000
0.000 3.314 0.000
-1.664 0.000 8.338
Tl Ag
8 4
Direct
0.000 0.000 0.000
0.037 0.000 0.417
0.252 0.500 0.256
0.335 0.000 0.629
0.500 0.500 0.000
0.537 0.500 0.417
0.752 0.000 0.256
0.835 0.500 0.629
0.111 0.500 0.731
0.266 0.000 0.957
0.611 0.000 0.731
0.766 0.500 0.957
```

---

Computed powder diffractogram of Tl5Ag3 for Cu Ka, from a crystal structure in Alexandria, relaxed with GGA-PBE.

Main lines, low angle first (2θ from 5° to 70°):
2θ 25.7, d = 3.469 Å, I = 4; 2θ 33.4, d = 2.682 Å, I = 100; 2θ 36.0, d = 2.494 Å, I = 22; 2θ 37.2, d = 2.414 Å, I = 19; 2θ 42.8, d = 2.114 Å, I = 11; 2θ 52.8, d = 1.735 Å, I = 14; 2θ 57.1, d = 1.613 Å, I = 9; 2θ 58.0, d = 1.590 Å, I = 9; 2θ 63.1, d = 1.474 Å, I = 16; 2θ 64.7, d = 1.440 Å, I = 14

Atomic structure:
```
Tl5Ag3
1.0
8.455 0.000 0.000
0.000 9.657 0.000
0.000 0.000 4.988
Tl Ag
10 6
Direct
0.000 0.000 0.000
0.219 0.500 0.500
0.250 0.250 0.000
0.250 0.750 0.000
0.281 0.000 0.500
0.500 0.500 0.000
0.719 0.000 0.500
0.750 0.250 0.000
0.750 0.750 0.000
0.781 0.500 0.500
0.000 0.234 0.500
0.000 0.500 0.000
0.000 0.766 0.500
0.500 0.000 0.000
0.500 0.266 0.500
0.500 0.734 0.500
```

---

Computed powder diffractogram of Tl2Ag for Cu Ka, from a crystal structure in Alexandria, relaxed with GGA-PBE.

Main lines, low angle first (2θ from 5° to 70°):
2θ 28.4, d = 3.140 Å, I = 30; 2θ 29.0, d = 3.079 Å, I = 57; 2θ 30.2, d = 2.955 Å, I = 35; 2θ 30.7, d = 2.915 Å, I = 85; 2θ 32.4, d = 2.765 Å, I = 54; 2θ 37.3, d = 2.412 Å, I = 73; 2θ 38.1, d = 2.359 Å, I = 100; 2θ 45.9, d = 1.977 Å, I = 31; 2θ 52.9, d = 1.731 Å, I = 42; 2θ 62.4, d = 1.489 Å, I = 27

Atomic structure:
```
Tl2Ag
1.0
6.280 0.000 0.000
0.000 7.836 0.000
0.000 0.000 3.349
Tl Ag
4 2
Direct
0.095 0.190 0.000
0.405 0.690 0.500
0.595 0.310 0.500
0.905 0.810 0.000
0.000 0.500 0.500
0.500 0.000 0.000
```

---

Computed powder diffractogram of Tm4Tl5Ag2 for Cu Ka, from a crystal structure in Alexandria, relaxed with GGA-PBE.

Main lines, low angle first (2θ from 5° to 70°):
2θ 30.0, d = 2.977 Å, I = 30; 2θ 32.7, d = 2.737 Å, I = 57; 2θ 33.2, d = 2.700 Å, I = 100; 2θ 33.4, d = 2.683 Å, I = 69; 2θ 34.9, d = 2.574 Å, I = 37; 2θ 36.9, d = 2.435 Å, I = 25; 2θ 37.6, d = 2.394 Å, I = 23; 2θ 37.9, d = 2.373 Å, I = 19; 2θ 38.7, d = 2.325 Å, I = 48; 2θ 51.0, d = 1.792 Å, I = 26

Atomic structure:
```
Tm4Tl5Ag2
1.0
8.094 0.000 0.000
0.000 3.585 0.000
-0.337 0.000 9.739
Tm Tl Ag
4 5 2
Direct
0.210 0.000 0.360
0.228 0.000 0.910
0.772 0.000 0.090
0.790 0.000 0.640
0.136 0.500 0.631
0.453 0.500 0.161
0.500 0.500 0.500
0.547 0.500 0.839
0.864 0.500 0.369
0.082 0.500 0.129
0.918 0.500 0.871
```

---

Computed powder diffractogram of Tm11Tl9Ag4 for Cu Ka, from a crystal structure in Alexandria, relaxed with GGA-PBE.

Main lines, low angle first (2θ from 5° to 70°):
2θ 30.4, d = 2.936 Å, I = 7; 2θ 31.4, d = 2.847 Å, I = 9; 2θ 32.0, d = 2.797 Å, I = 8; 2θ 32.6, d = 2.750 Å, I = 10; 2θ 34.2, d = 2.618 Å, I = 100; 2θ 34.4, d = 2.610 Å, I = 50; 2θ 49.0, d = 1.858 Å, I = 14; 2θ 61.2, d = 1.513 Å, I = 19; 2θ 61.4, d = 1.510 Å, I = 9; 2θ 61.6, d = 1.506 Å, I = 9

Atomic structure:
```
Tm11Tl9Ag4
1.0
7.363 -11.099 0.000
7.363 11.099 0.000
0.000 0.000 3.715
Tm Tl Ag
11 9 4
Direct
0.000 0.000 0.000
0.069 0.412 0.000
0.162 0.838 0.000
0.298 0.298 0.000
0.366 0.634 0.000
0.412 0.069 0.000
0.588 0.931 0.000
0.634 0.366 0.000
0.702 0.702 0.000
0.838 0.162 0.000
0.931 0.588 0.000
0.062 0.213 0.500
0.149 0.630 0.500
0.213 0.062 0.500
0.370 0.851 0.500
0.500 0.500 0.500
0.630 0.149 0.500
0.787 0.938 0.500
0.851 0.370 0.500
0.938 0.787 0.500
0.251 0.449 0.500
0.449 0.251 0.500
0.551 0.749 0.500
0.749 0.551 0.500
```

---

Computed powder diffractogram of Y2TlAg3 for Cu Ka, from a crystal structure in Alexandria, relaxed with GGA-PBE.

Main lines, low angle first (2θ from 5° to 70°):
2θ 26.3, d = 3.392 Å, I = 30; 2θ 33.8, d = 2.649 Å, I = 49; 2θ 33.9, d = 2.641 Å, I = 99; 2θ 36.8, d = 2.443 Å, I = 100; 2θ 37.1, d = 2.425 Å, I = 49; 2θ 45.8, d = 1.982 Å, I = 26; 2θ 51.1, d = 1.789 Å, I = 30; 2θ 66.6, d = 1.403 Å, I = 17; 2θ 67.2, d = 1.393 Å, I = 33; 2θ 67.4, d = 1.390 Å, I = 16

Atomic structure:
```
Y2TlAg3
1.0
0.000 4.850 8.482
3.392 0.000 8.482
3.392 4.850 0.000
Y Tl Ag
4 2 6
Direct
0.245 0.755 0.755
0.250 0.250 0.250
0.750 0.750 0.750
0.755 0.245 0.245
0.334 0.334 0.666
0.666 0.666 0.334
0.165 0.672 0.328
0.166 0.166 0.834
0.328 0.835 0.165
0.672 0.165 0.835
0.834 0.834 0.166
0.835 0.328 0.672
```

---

Computed powder diffractogram of ZrTlAg for Cu Ka, from a crystal structure in Alexandria, relaxed with GGA-PBE.

Main lines, low angle first (2θ from 5° to 70°):
2θ 34.1, d = 2.626 Å, I = 57; 2θ 34.9, d = 2.570 Å, I = 52; 2θ 35.7, d = 2.518 Å, I = 100; 2θ 39.9, d = 2.257 Å, I = 73; 2θ 42.3, d = 2.135 Å, I = 30; 2θ 56.2, d = 1.636 Å, I = 13; 2θ 59.1, d = 1.563 Å, I = 23; 2θ 60.1, d = 1.539 Å, I = 21; 2θ 67.9, d = 1.380 Å, I = 15; 2θ 68.8, d = 1.364 Å, I = 13

Atomic structure:
```
ZrTlAg
1.0
5.438 0.000 0.000
0.000 3.118 0.000
-0.643 0.000 7.709
Zr Tl Ag
2 2 2
Direct
0.000 0.000 0.000
0.346 0.000 0.682
0.174 0.500 0.336
0.830 0.500 0.659
0.505 0.500 0.005
0.664 0.000 0.315
```

---

Computed powder diffractogram of Zr5TlAg for Cu Ka, from a crystal structure in Alexandria, relaxed with GGA-PBE.

Main lines, low angle first (2θ from 5° to 70°):
2θ 12.4, d = 7.143 Å, I = 26; 2θ 24.1, d = 3.690 Å, I = 52; 2θ 30.1, d = 2.969 Å, I = 28; 2θ 31.8, d = 2.813 Å, I = 41; 2θ 34.7, d = 2.583 Å, I = 82; 2θ 35.0, d = 2.567 Å, I = 100; 2θ 35.9, d = 2.499 Å, I = 73; 2θ 36.6, d = 2.456 Å, I = 57; 2θ 36.8, d = 2.444 Å, I = 33; 2θ 38.4, d = 2.346 Å, I = 38

Atomic structure:
```
Zr5TlAg
1.0
6.746 -4.302 0.000
6.746 4.302 0.000
-1.874 0.000 5.694
Zr Tl Ag
10 2 2
Direct
0.145 0.209 0.140
0.209 0.145 0.640
0.242 0.758 0.750
0.323 0.457 0.056
0.457 0.323 0.556
0.543 0.677 0.444
0.677 0.543 0.944
0.758 0.242 0.250
0.791 0.855 0.360
0.855 0.791 0.860
0.137 0.863 0.250
0.863 0.137 0.750
0.000 0.500 0.500
0.500 0.000 0.000
```